1.
Starting from DFT lattice parameters and positions (PBE), the powder XRD pattern of Ce2Ga8Cu was simulated for Cu Kα, 1.54184 Å.
No peak broadening, texture or thermal motion is included.

Crystal structure
```
data_Ce2Ga8Cu
_chemical_formula_sum 'Ce2 Ga8 Cu1'
_space_group_name_H-M_alt 'P 1'
_space_group_IT_number 1
_space_group_name_Hall 'P 1'
_cell_length_a 4.368
_cell_length_b 4.368
_cell_length_c 11.241
_cell_angle_alpha 90.00
_cell_angle_beta 90.00
_cell_angle_gamma 90.00
loop_
_atom_site_label
_atom_site_fract_x
_atom_site_fract_y
_atom_site_fract_z
Ce1 0.000 0.000 0.193
Ce2 0.000 0.000 0.807
Ga1 0.000 0.500 0.000
Ga2 0.000 0.500 0.378
Ga3 0.000 0.500 0.622
Ga4 0.500 0.000 0.000
Ga5 0.500 0.000 0.378
Ga6 0.500 0.000 0.622
Ga7 0.500 0.500 0.195
Ga8 0.500 0.500 0.805
Cu1 0.000 0.000 0.500
```

Main lines, in order of rising 2θ (2θ from 15° to 90°):
2θ (°), I (rel.)
20.33, 16
31.46, 9
33.10, 40
37.75, 100
40.11, 18
41.34, 55
58.96, 23
59.90, 18
70.17, 9
73.01, 27
74.13, 13
74.55, 11

2.
Starting from DFT lattice parameters and positions (PBE), the powder XRD pattern of Ce2Ga6Cu was simulated for Cu Kα, 1.54184 Å.
No peak broadening, texture or thermal motion is included.

Crystal structure
```
data_Ce2Ga6Cu
_chemical_formula_sum 'Ce2 Ga6 Cu1'
_space_group_name_H-M_alt 'P 1'
_space_group_IT_number 1
_space_group_name_Hall 'P 1'
_cell_length_a 3.672
_cell_length_b 12.015
_cell_length_c 12.015
_cell_angle_alpha 20.59
_cell_angle_beta 90.00
_cell_angle_gamma 90.00
loop_
_atom_site_label
_atom_site_fract_x
_atom_site_fract_y
_atom_site_fract_z
Ce1 0.000 0.000 0.000
Ce2 0.000 0.329 0.329
Ga1 0.000 0.622 0.622
Ga2 0.000 0.733 0.733
Ga3 0.500 0.109 0.109
Ga4 0.500 0.218 0.218
Ga5 0.500 0.443 0.443
Ga6 0.500 0.884 0.884
Cu1 0.500 0.548 0.548
```

Main lines, in order of rising 2θ (2θ from 15° to 90°):
2θ (°), I (rel.)
33.36, 26
33.76, 12
34.08, 100
37.42, 13
40.24, 31
42.05, 43
49.66, 18
52.72, 14
54.73, 13
65.76, 14
67.08, 14
71.78, 11

3.
Starting from DFT lattice parameters and positions (PBE), the powder XRD pattern of Ce2Ga5Cu3 was simulated for Cu Kα, 1.54184 Å.
No peak broadening, texture or thermal motion is included.

Crystal structure
```
data_Ce2Ga5Cu3
_chemical_formula_sum 'Ce2 Ga5 Cu3'
_space_group_name_H-M_alt 'P 1'
_space_group_IT_number 1
_space_group_name_Hall 'P 1'
_cell_length_a 4.228
_cell_length_b 4.228
_cell_length_c 10.220
_cell_angle_alpha 90.00
_cell_angle_beta 90.00
_cell_angle_gamma 90.00
loop_
_atom_site_label
_atom_site_fract_x
_atom_site_fract_y
_atom_site_fract_z
Ce1 0.000 0.500 0.243
Ce2 0.500 0.000 0.757
Ga1 0.000 0.000 0.500
Ga2 0.000 0.500 0.637
Ga3 0.000 0.500 0.879
Ga4 0.500 0.000 0.121
Ga5 0.500 0.000 0.363
Cu1 0.000 0.000 0.000
Cu2 0.500 0.500 0.000
Cu3 0.500 0.500 0.500
```

Main lines, in order of rising 2θ (2θ from 15° to 90°):
2θ (°), I (rel.)
29.89, 19
33.79, 71
34.77, 100
42.78, 62
46.77, 11
49.53, 27
55.59, 34
62.10, 20
62.79, 13
67.48, 21
73.18, 21
89.68, 13

Please write out number 2 again, unchanged.
Starting from DFT lattice parameters and positions (PBE), the powder XRD pattern of Ce2Ga6Cu was simulated for Cu Kα, 1.54184 Å.
No peak broadening, texture or thermal motion is included.

Crystal structure
```
data_Ce2Ga6Cu
_chemical_formula_sum 'Ce2 Ga6 Cu1'
_space_group_name_H-M_alt 'P 1'
_space_group_IT_number 1
_space_group_name_Hall 'P 1'
_cell_length_a 3.672
_cell_length_b 12.015
_cell_length_c 12.015
_cell_angle_alpha 20.59
_cell_angle_beta 90.00
_cell_angle_gamma 90.00
loop_
_atom_site_label
_atom_site_fract_x
_atom_site_fract_y
_atom_site_fract_z
Ce1 0.000 0.000 0.000
Ce2 0.000 0.329 0.329
Ga1 0.000 0.622 0.622
Ga2 0.000 0.733 0.733
Ga3 0.500 0.109 0.109
Ga4 0.500 0.218 0.218
Ga5 0.500 0.443 0.443
Ga6 0.500 0.884 0.884
Cu1 0.500 0.548 0.548
```

Main lines, in order of rising 2θ (2θ from 15° to 90°):
2θ (°), I (rel.)
33.36, 26
33.76, 12
34.08, 100
37.42, 13
40.24, 31
42.05, 43
49.66, 18
52.72, 14
54.73, 13
65.76, 14
67.08, 14
71.78, 11

Which formula does entry 1 have?
Ce2Ga8Cu